Entry 1:
# Cu2H18N7F2
Computed powder XRD pattern, CuKα. Input: a GGA-PBE-relaxed structure.

Main lines, low angle first (5 to 70 degrees two-theta):
| two_theta | Rel. int. |
| --- | --- |
| 12.98 | 100.0 |
| 13.20 | 89.5 |
| 17.20 | 35.9 |
| 27.66 | 31.2 |
| 29.27 | 23.7 |
| 29.92 | 34.1 |
| 30.68 | 28.2 |
| 31.96 | 44.1 |
| 32.36 | 45.8 |
| 34.80 | 30.3 |

Crystal structure
a b c (Å): 17.9214 5.8184 10.3134
angles (deg): 90.00 90.93 90.00
Space group C2 (No. 5)
Inequivalent atoms, fractional coordinates:
Cu  0.0000  0.0000  0.0000 (multiplicity 2)
Cu  0.0000  0.4943  0.0000 (multiplicity 2)
Cu  0.1873  0.7498  0.4920 (multiplicity 4)
H  0.0093  0.6426  0.2242 (multiplicity 4)
H  0.0372  0.3923  0.7810 (multiplicity 4)
H  0.0572  0.3965  0.2087 (multiplicity 4)
H  0.0646  0.4898  0.4709 (multiplicity 4)
H  0.1200  0.0987  0.9065 (multiplicity 4)
H  0.1231  0.3558  0.5705 (multiplicity 4)
H  0.1262  0.0969  0.0703 (multiplicity 4)
H  0.1298  0.8475  0.9875 (multiplicity 4)
H  0.1336  0.3446  0.4081 (multiplicity 4)
H  0.1620  0.6897  0.7253 (multiplicity 4)
H  0.1701  0.9707  0.7005 (multiplicity 4)
H  0.1740  0.4436  0.9091 (multiplicity 4)
H  0.1797  0.4465  0.0700 (multiplicity 4)
H  0.1825  0.6833  0.2547 (multiplicity 4)
H  0.1865  0.9652  0.2802 (multiplicity 4)
H  0.2361  0.3032  0.7104 (multiplicity 4)
H  0.2383  0.5999  0.9833 (multiplicity 4)
H  0.2461  0.8034  0.7140 (multiplicity 4)
N  0.0082  0.4805  0.1828 (multiplicity 4)
N  0.0153  0.9539  0.3152 (multiplicity 4)
N  0.1052  0.0101  0.9897 (multiplicity 4)
N  0.1193  0.4480  0.4850 (multiplicity 4)
N  0.1842  0.5479  0.9883 (multiplicity 4)
N  0.1920  0.8117  0.6769 (multiplicity 4)
N  0.2074  0.8081  0.3107 (multiplicity 4)
F  0.1391  0.2654  0.7544 (multiplicity 4)
F  0.1575  0.2633  0.2216 (multiplicity 4)



Entry 2:
# CuH12N2O2F4
Computed powder XRD pattern, CuKα. Input: a GGA-PBE-relaxed structure.

Main lines, low angle first (5 to 70 degrees two-theta):
| two_theta | Rel. int. |
| --- | --- |
| 16.01 | 100.0 |
| 17.32 | 33.8 |
| 20.21 | 53.7 |
| 25.80 | 29.7 |
| 26.71 | 44.8 |
| 35.05 | 28.1 |
| 35.93 | 27.6 |
| 38.34 | 23.6 |
| 41.19 | 23.3 |
| 42.72 | 26.1 |

Crystal structure
a b c (Å): 10.8826 9.2454 7.3374
angles (deg): 90.00 109.79 90.00
Space group C2/c (No. 15)
Inequivalent atoms, fractional coordinates:
Cu  0.0000  0.1997  0.2500 (multiplicity 4)
H  0.0393  0.1254  0.6064 (multiplicity 8)
H  0.1116  0.4977  0.9185 (multiplicity 8)
H  0.1503  0.2465  0.6113 (multiplicity 8)
H  0.1704  0.3659  0.0909 (multiplicity 8)
H  0.2396  0.3933  0.9179 (multiplicity 8)
H  0.2441  0.0200  0.4005 (multiplicity 8)
N  0.1952  0.4442  0.0085 (multiplicity 8)
O  0.0606  0.2078  0.5340 (multiplicity 8)
F  0.0000  0.0124  0.7500 (multiplicity 4)
F  0.0000  0.4116  0.2500 (multiplicity 4)
F  0.2218  0.1888  0.2495 (multiplicity 8)